# Re3Ge
Simulated X-ray diffraction stick pattern, Cu Kα (weighted mean of Kα1 and Kα2). Input: DFT lattice parameters and positions (PBE).

Top 12 peaks for 10° ≤ 2θ ≤ 80°, by intensity:
hkl 2 0 1, d 2.118, 42.69 deg, I 100; hkl 0 0 2, d 2.233, 40.39 deg, I 26; hkl 2 0 0, d 2.406, 37.38 deg, I 24; hkl 2 0 3, d 1.266, 75.03 deg, I 19; hkl 2 2 0, d 1.389, 67.43 deg, I 17; hkl 2 0 2, d 1.637, 56.20 deg, I 15; hkl 1 0 1, d 3.273, 27.24 deg, I 11; hkl 1 1 0, d 2.778, 32.22 deg, I 4; hkl 4 0 0, d 1.203, 79.72 deg, I 3; hkl 1 0 0, d 4.811, 18.44 deg, I 3; hkl 2 1 1, d 1.684, 54.48 deg, I 2; hkl 1 1 2, d 1.741, 52.58 deg, I 2

Crystal structure
```
data_Re3Ge
_space_group_name_H-M_alt 'P 63/m m c'
_space_group_IT_number 194
_space_group_name_Hall '-P 6c 2c'
_cell_length_a 5.5557
_cell_length_b 5.5557
_cell_length_c 4.4665
_cell_angle_alpha 90.00
_cell_angle_beta 90.00
_cell_angle_gamma 120.00
loop_
_atom_site_label
_atom_site_fract_x
_atom_site_fract_y
_atom_site_fract_z
_atom_site_occupancy
Re1 0.1694 0.3388 0.2500 1
Ge1 0.3333 0.6667 0.7500 1
```


# ScReGe2
Simulated X-ray diffraction stick pattern, Cu Kα (weighted mean of Kα1 and Kα2). Input: DFT lattice parameters and positions (PBE).

Top 12 peaks for 10° ≤ 2θ ≤ 80°, by intensity:
hkl 2 3 2, d 2.308, 39.02 deg, I 100; hkl 0 4 2, d 2.181, 41.39 deg, I 66; hkl 3 1 2, d 2.445, 36.75 deg, I 52; hkl 2 1 0, d 4.287, 20.72 deg, I 40; hkl 2 0 0, d 4.723, 18.79 deg, I 38; hkl 4 1 0, d 2.301, 39.15 deg, I 36; hkl 1 1 0, d 6.935, 12.76 deg, I 35; hkl 2 4 2, d 1.980, 45.82 deg, I 31; hkl 0 0 4, d 2.098, 43.12 deg, I 31; hkl 0 0 2, d 4.196, 21.17 deg, I 30; hkl 2 1 4, d 1.884, 48.30 deg, I 28; hkl 1 1 2, d 3.590, 24.80 deg, I 18

Crystal structure
```
data_ScReGe2
_space_group_name_H-M_alt 'P b a m'
_space_group_IT_number 55
_cell_length_a 9.447
_cell_length_b 10.214
_cell_length_c 8.392
_cell_angle_alpha 90.00
_cell_angle_beta 90.00
_cell_angle_gamma 90.00
loop_
_space_group_symop_operation_xyz
'x,y,z'
'-x,-y,-z'
'-x,-y,z'
'x,y,-z'
'x+1/2,-y+1/2,-z'
'-x+1/2,y+1/2,z'
'-x+1/2,y+1/2,-z'
'x+1/2,-y+1/2,z'
loop_
_atom_site_label
_atom_site_fract_x
_atom_site_fract_y
_atom_site_fract_z
_atom_site_occupancy
Sc1 0.166 0.178 0.000 1
Sc2 0.171 0.452 0.242 1
Re1 0.000 0.000 0.243 1
Re2 0.081 0.747 0.249 1
Ge1 0.039 0.619 0.500 1
Ge2 0.041 0.618 0.000 1
Ge3 0.133 0.908 0.500 1
Ge4 0.139 0.900 0.000 1
Ge5 0.170 0.182 0.348 1
```


# ReSnGe
Simulated X-ray diffraction stick pattern, Cu Kα (weighted mean of Kα1 and Kα2). Input: DFT lattice parameters and positions (PBE).

Top 9 peaks for 10° ≤ 2θ ≤ 80°, by intensity:
hkl 2 2 0, d 2.197, 41.09 deg, I 100; hkl 2 0 0, d 3.106, 28.74 deg, I 47; hkl 4 2 2, d 1.268, 74.87 deg, I 35; hkl 4 2 0, d 1.389, 67.41 deg, I 18; hkl 4 0 0, d 1.553, 59.52 deg, I 17; hkl 1 1 1, d 3.587, 24.82 deg, I 17; hkl 2 2 2, d 1.793, 50.92 deg, I 13; hkl 3 1 1, d 1.873, 48.60 deg, I 8; hkl 3 3 1, d 1.425, 65.49 deg, I 3

Crystal structure
```
data_ReSnGe
_space_group_name_H-M_alt 'F -4 3 m'
_space_group_IT_number 216
_space_group_name_Hall 'F -4 2 3'
_cell_length_a 6.213
_cell_length_b 6.213
_cell_length_c 6.213
_cell_angle_alpha 90.00
_cell_angle_beta 90.00
_cell_angle_gamma 90.00
loop_
_atom_site_label
_atom_site_fract_x
_atom_site_fract_y
_atom_site_fract_z
_atom_site_occupancy
Re1 0.000 0.000 0.000 1
Sn1 0.000 0.000 0.500 1
Ge1 0.250 0.250 0.250 1
```


# GeRh
Simulated X-ray diffraction stick pattern, Cu Kα (weighted mean of Kα1 and Kα2). Input: DFT lattice parameters and positions (PBE).

Top 12 peaks for 10° ≤ 2θ ≤ 80°, by intensity:
hkl 2 1 1, d 2.054, 44.09 deg, I 100; hkl 2 0 2, d 2.163, 41.76 deg, I 76; hkl 1 1 1, d 2.615, 34.29 deg, I 57; hkl 0 1 1, d 2.936, 30.45 deg, I 50; hkl 1 1 2, d 2.153, 41.97 deg, I 46; hkl 0 1 3, d 1.821, 50.09 deg, I 42; hkl 1 0 3, d 2.046, 44.27 deg, I 28; hkl 0 2 0, d 1.641, 56.03 deg, I 28; hkl 2 2 2, d 1.307, 72.26 deg, I 25; hkl 1 0 2, d 2.851, 31.37 deg, I 22; hkl 1 0 5, d 1.280, 74.05 deg, I 21; hkl 3 0 1, d 1.840, 49.55 deg, I 20

Crystal structure
```
data_GeRh
_space_group_name_H-M_alt 'P n m a'
_space_group_IT_number 62
_cell_length_a 5.749
_cell_length_b 3.282
_cell_length_c 6.567
_cell_angle_alpha 90.00
_cell_angle_beta 90.00
_cell_angle_gamma 90.00
loop_
_space_group_symop_operation_xyz
'x,y,z'
'-x,-y,-z'
'-x+1/2,-y,z+1/2'
'x+1/2,y,-z+1/2'
'x+1/2,-y+1/2,-z+1/2'
'-x+1/2,y+1/2,z+1/2'
'-x,y+1/2,-z'
'x,-y+1/2,z'
loop_
_atom_site_label
_atom_site_fract_x
_atom_site_fract_y
_atom_site_fract_z
_atom_site_occupancy
Ge1 0.193 0.250 0.061 1
Rh1 0.004 0.250 0.703 1
```


# GeRh
Simulated X-ray diffraction stick pattern, Cu Kα (weighted mean of Kα1 and Kα2). Input: DFT lattice parameters and positions (PBE).

Top 12 peaks for 10° ≤ 2θ ≤ 80°, by intensity:
hkl 2 1 0, d 2.203, 40.97 deg, I 100; hkl 2 1 1, d 2.011, 45.08 deg, I 56; hkl 3 1 2, d 1.316, 71.69 deg, I 31; hkl 1 1 1, d 2.844, 31.46 deg, I 16; hkl 3 1 1, d 1.485, 62.54 deg, I 13; hkl 4 0 0, d 1.231, 77.51 deg, I 9; hkl 1 1 0, d 3.483, 25.57 deg, I 7; hkl 3 0 2, d 1.366, 68.71 deg, I 7; hkl 2 0 0, d 2.463, 36.48 deg, I 5; hkl 3 1 0, d 1.558, 59.33 deg, I 4; hkl 2 2 1, d 1.642, 56.01 deg, I 4; hkl 2 2 2, d 1.422, 65.66 deg, I 2

Crystal structure
```
data_GeRh
_space_group_name_H-M_alt 'P 21 3'
_space_group_IT_number 198
_space_group_name_Hall 'P 2ac 2ab 3'
_cell_length_a 4.926
_cell_length_b 4.926
_cell_length_c 4.926
_cell_angle_alpha 90.00
_cell_angle_beta 90.00
_cell_angle_gamma 90.00
loop_
_atom_site_label
_atom_site_fract_x
_atom_site_fract_y
_atom_site_fract_z
_atom_site_occupancy
Ge1 0.163 0.337 0.663 1
Rh1 0.127 0.127 0.127 1
```